# 1
# NaCePCO7
Computed PXRD pattern, Cu Kα (weighted mean of Kα1 and Kα2). Input: a crystal structure in the Materials Project, relaxed with PBE.

Most intense lines, 2θ from 10° to 80°, in order of rising 2θ:
2θ = 15.6°, I = 100
2θ = 18.4°, I = 38
2θ = 19.0°, I = 52
2θ = 20.6°, I = 68
2θ = 24.2°, I = 54
2θ = 25.1°, I = 27
2θ = 25.3°, I = 61
2θ = 31.8°, I = 33
2θ = 35.3°, I = 45
2θ = 39.5°, I = 47

Crystal structure
```
data_NaCePCO7
_cell_length_a 5.4613
_cell_length_b 7.0438
_cell_length_c 9.6292
_cell_angle_alpha 90.00
_cell_angle_beta 91.95
_cell_angle_gamma 90.00
_symmetry_space_group_name_H-M 'P 1'
_symmetry_Int_Tables_number 1
loop_
_symmetry_equiv_pos_as_xyz
'x,y,z'
loop_
_atom_site_label
_atom_site_type_symbol
_atom_site_fract_x
_atom_site_fract_y
_atom_site_fract_z
Na1 Na 0.2400 0.0000 0.2913
Na2 Na 0.7600 0.5000 0.7087
Ce1 Ce 0.2182 0.2106 0.8462
Ce2 Ce 0.7818 0.7106 0.1538
P1 P 0.2798 0.7163 0.9253
P2 P 0.7202 0.2163 0.0747
C1 C 0.2768 0.2467 0.5670
C2 C 0.7232 0.7467 0.4330
O1 O 0.0586 0.2476 0.6253
O2 O 0.1680 0.7362 0.0720
O3 O 0.1759 0.5381 0.8507
O4 O 0.2183 0.8942 0.8371
O5 O 0.3089 0.2245 0.4421
O6 O 0.4369 0.1963 0.0515
O7 O 0.4595 0.2651 0.6627
O8 O 0.5405 0.7651 0.3372
O9 O 0.5631 0.6963 0.9485
O10 O 0.6911 0.7245 0.5579
O11 O 0.7817 0.3942 0.1629
O12 O 0.8241 0.0381 0.1493
O13 O 0.8320 0.2362 0.9280
O14 O 0.9414 0.7476 0.3747
```

=====

# 2
# Mg14TiFe
Computed PXRD pattern, Cu Kα (weighted mean of Kα1 and Kα2). Input: a crystal structure in the Materials Project, relaxed with PBE.

Most intense lines, 2θ from 10° to 80°, in order of rising 2θ:
2θ = 16.2°, I = 11
2θ = 24.2°, I = 5
2θ = 32.8°, I = 25
2θ = 36.0°, I = 25
2θ = 37.6°, I = 100
2θ = 49.5°, I = 15
2θ = 58.6°, I = 17
2θ = 65.8°, I = 17
2θ = 70.8°, I = 18
2θ = 71.8°, I = 13

Crystal structure
```
data_Mg14TiFe
_cell_length_a 6.2992
_cell_length_b 6.2992
_cell_length_c 9.9675
_cell_angle_alpha 90.00
_cell_angle_beta 90.00
_cell_angle_gamma 120.00
_symmetry_space_group_name_H-M 'P 1'
_symmetry_Int_Tables_number 1
loop_
_symmetry_equiv_pos_as_xyz
'x,y,z'
loop_
_atom_site_label
_atom_site_type_symbol
_atom_site_fract_x
_atom_site_fract_y
_atom_site_fract_z
Mg1 Mg 0.0000 0.0000 0.2464
Mg2 Mg 0.0000 0.0000 0.7536
Mg3 Mg 0.0142 0.5071 0.2552
Mg4 Mg 0.0142 0.5071 0.7448
Mg5 Mg 0.3320 0.1660 0.5000
Mg6 Mg 0.3383 0.1692 0.0000
Mg7 Mg 0.4929 0.5071 0.2552
Mg8 Mg 0.4929 0.5071 0.7448
Mg9 Mg 0.4929 0.9858 0.2552
Mg10 Mg 0.4929 0.9858 0.7448
Mg11 Mg 0.8308 0.1692 0.0000
Mg12 Mg 0.8308 0.6617 0.0000
Mg13 Mg 0.8340 0.1660 0.5000
Mg14 Mg 0.8340 0.6680 0.5000
Ti1 Ti 0.3333 0.6667 0.0000
Fe1 Fe 0.3333 0.6667 0.5000
```

=====

# 3
# TeAsCl3F6
Computed PXRD pattern, Cu Kα (weighted mean of Kα1 and Kα2). Input: a crystal structure in the Materials Project, relaxed with PBE.

Most intense lines, 2θ from 10° to 80°, in order of rising 2θ:
2θ = 11.1°, I = 22
2θ = 13.4°, I = 60
2θ = 17.2°, I = 100
2θ = 19.2°, I = 26
2θ = 20.2°, I = 26
2θ = 20.7°, I = 29
2θ = 22.4°, I = 100
2θ = 24.7°, I = 50
2θ = 28.1°, I = 32
2θ = 35.0°, I = 37

Crystal structure
```
data_TeAsCl3F6
_cell_length_a 9.0504
_cell_length_b 10.2458
_cell_length_c 11.7476
_cell_angle_alpha 90.00
_cell_angle_beta 118.72
_cell_angle_gamma 90.00
_symmetry_space_group_name_H-M 'P 1'
_symmetry_Int_Tables_number 1
loop_
_symmetry_equiv_pos_as_xyz
'x,y,z'
loop_
_atom_site_label
_atom_site_type_symbol
_atom_site_fract_x
_atom_site_fract_y
_atom_site_fract_z
Te1 Te 0.2442 0.1410 0.1806
Te2 Te 0.2442 0.3590 0.6806
Te3 Te 0.7558 0.6410 0.3194
Te4 Te 0.7558 0.8590 0.8194
As1 As 0.1140 0.7085 0.7237
As2 As 0.1140 0.7915 0.2237
As3 As 0.8860 0.2085 0.7763
As4 As 0.8860 0.2915 0.2763
Cl1 Cl 0.2430 0.1402 0.6351
Cl2 Cl 0.2430 0.3598 0.1351
Cl3 Cl 0.3938 0.0721 0.0777
Cl4 Cl 0.3938 0.4279 0.5777
Cl5 Cl 0.4740 0.1512 0.3862
Cl6 Cl 0.4740 0.3488 0.8862
Cl7 Cl 0.5260 0.6512 0.1138
Cl8 Cl 0.5260 0.8488 0.6138
Cl9 Cl 0.6062 0.5721 0.4223
Cl10 Cl 0.6062 0.9279 0.9223
Cl11 Cl 0.7570 0.6402 0.8649
Cl12 Cl 0.7570 0.8598 0.3649
F1 F 0.0190 0.6310 0.5646
F2 F 0.0190 0.8690 0.0646
F3 F 0.0718 0.5632 0.7842
F4 F 0.0718 0.9368 0.2842
F5 F 0.0917 0.2314 0.3143
F6 F 0.0917 0.2686 0.8143
F7 F 0.1520 0.6526 0.1552
F8 F 0.1520 0.8474 0.6552
F9 F 0.2017 0.7184 0.3774
F10 F 0.2017 0.7816 0.8774
F11 F 0.3103 0.6384 0.7544
F12 F 0.3103 0.8616 0.2544
F13 F 0.6897 0.1384 0.7456
F14 F 0.6897 0.3616 0.2456
F15 F 0.7983 0.2184 0.1226
F16 F 0.7983 0.2816 0.6226
F17 F 0.8480 0.1526 0.3448
F18 F 0.8480 0.3474 0.8448
F19 F 0.9083 0.7314 0.1857
F20 F 0.9083 0.7686 0.6857
F21 F 0.9282 0.0632 0.7158
F22 F 0.9282 0.4368 0.2158
F23 F 0.9810 0.1310 0.9354
F24 F 0.9810 0.3690 0.4354
```

=====

# 4
# LaSmS2
Computed PXRD pattern, Cu Kα (weighted mean of Kα1 and Kα2). Input: a crystal structure in the Materials Project, relaxed with PBE.

Most intense lines, 2θ from 10° to 80°, in order of rising 2θ:
2θ = 26.5°, I = 19
2θ = 26.8°, I = 55
2θ = 31.0°, I = 100
2θ = 44.2°, I = 37
2θ = 44.6°, I = 36
2θ = 52.6°, I = 18
2θ = 55.3°, I = 19
2θ = 64.6°, I = 12
2θ = 73.0°, I = 16
2θ = 73.7°, I = 16

Crystal structure
```
data_LaSmS2
_cell_length_a 7.1288
_cell_length_b 7.1288
_cell_length_c 7.1288
_cell_angle_alpha 33.11
_cell_angle_beta 33.11
_cell_angle_gamma 33.11
_symmetry_space_group_name_H-M 'P 1'
_symmetry_Int_Tables_number 1
loop_
_symmetry_equiv_pos_as_xyz
'x,y,z'
loop_
_atom_site_label
_atom_site_type_symbol
_atom_site_fract_x
_atom_site_fract_y
_atom_site_fract_z
La1 La 0.0000 0.0000 0.0000
Sm1 Sm 0.5000 0.5000 0.5000
S1 S 0.2464 0.2464 0.2464
S2 S 0.7536 0.7536 0.7536
```

=====

# 5
# Ba4PrRu3O12
Computed PXRD pattern, Cu Kα (weighted mean of Kα1 and Kα2). Input: a crystal structure in the Materials Project, relaxed with PBE.

Most intense lines, 2θ from 10° to 80°, in order of rising 2θ:
2θ = 26.5°, I = 32
2θ = 27.1°, I = 63
2θ = 29.1°, I = 24
2θ = 29.8°, I = 59
2θ = 29.8°, I = 100
2θ = 40.3°, I = 37
2θ = 41.2°, I = 19
2θ = 45.3°, I = 15
2θ = 53.0°, I = 30
2θ = 62.0°, I = 27

Crystal structure
```
data_Ba4PrRu3O12
_cell_length_a 5.9888
_cell_length_b 5.9888
_cell_length_c 30.1800
_cell_angle_alpha 91.58
_cell_angle_beta 91.58
_cell_angle_gamma 60.03
_symmetry_space_group_name_H-M 'P 1'
_symmetry_Int_Tables_number 1
loop_
_symmetry_equiv_pos_as_xyz
'x,y,z'
loop_
_atom_site_label
_atom_site_type_symbol
_atom_site_fract_x
_atom_site_fract_y
_atom_site_fract_z
Ba1 Ba 0.9999 0.9999 0.1306
Ba2 Ba 0.0001 0.0001 0.8694
Ba3 Ba 0.0035 0.0035 0.7203
Ba4 Ba 0.3294 0.3294 0.9462
Ba5 Ba 0.3334 0.3334 0.5360
Ba6 Ba 0.3328 0.3328 0.7972
Ba7 Ba 0.3386 0.3386 0.3869
Ba8 Ba 0.6614 0.6614 0.6131
Ba9 Ba 0.6672 0.6672 0.2028
Ba10 Ba 0.6666 0.6666 0.4640
Ba11 Ba 0.6706 0.6706 0.0538
Ba12 Ba 0.9965 0.9965 0.2797
Pr1 Pr 0.0000 0.0000 0.0000
Pr2 Pr 0.3321 0.3321 0.6668
Pr3 Pr 0.6679 0.6679 0.3332
Ru1 Ru 0.0000 0.0000 0.5000
Ru2 Ru 0.0102 0.0102 0.4151
Ru3 Ru 0.3252 0.3252 0.2515
Ru4 Ru 0.3337 0.3337 0.1668
Ru5 Ru 0.3419 0.3419 0.0818
Ru6 Ru 0.6581 0.6581 0.9182
Ru7 Ru 0.6663 0.6663 0.8332
Ru8 Ru 0.6748 0.6748 0.7485
Ru9 Ru 0.9898 0.9898 0.5849
O1 O 0.0052 0.4747 0.2838
O2 O 0.0278 0.4908 0.1237
O3 O 0.1354 0.1354 0.6265
O4 O 0.1382 0.6690 0.6167
O5 O 0.1581 0.6947 0.4567
O6 O 0.1587 0.1587 0.4628
O7 O 0.1755 0.1755 0.2044
O8 O 0.1768 0.6397 0.2099
O9 O 0.1921 0.6612 0.0496
O10 O 0.1945 0.1945 0.0410
O11 O 0.3053 0.8419 0.5433
O12 O 0.3310 0.8618 0.3833
O13 O 0.3388 0.8078 0.9504
O14 O 0.3603 0.8232 0.7901
O15 O 0.4724 0.4724 0.2929
O16 O 0.4747 0.0052 0.2838
O17 O 0.4908 0.0278 0.1237
O18 O 0.4919 0.4919 0.1291
O19 O 0.5081 0.5081 0.8709
O20 O 0.5092 0.9722 0.8763
O21 O 0.5253 0.9948 0.7162
O22 O 0.5276 0.5276 0.7071
O23 O 0.6397 0.1768 0.2099
O24 O 0.6612 0.1921 0.0496
O25 O 0.6690 0.1382 0.6167
O26 O 0.6947 0.1581 0.4567
O27 O 0.8055 0.8055 0.9590
O28 O 0.8078 0.3388 0.9504
O29 O 0.8232 0.3603 0.7901
O30 O 0.8245 0.8245 0.7956
O31 O 0.8413 0.8413 0.5372
O32 O 0.8419 0.3053 0.5433
O33 O 0.8618 0.3310 0.3833
O34 O 0.8646 0.8646 0.3735
O35 O 0.9722 0.5092 0.8763
O36 O 0.9948 0.5253 0.7162
```

=====

# 6
# MoSe
Computed PXRD pattern, Cu Kα (weighted mean of Kα1 and Kα2). Input: a crystal structure in the Materials Project, relaxed with PBE.

Most intense lines, 2θ from 10° to 80°, in order of rising 2θ:
2θ = 24.6°, I = 1
2θ = 31.6°, I = 34
2θ = 40.4°, I = 100
2θ = 50.5°, I = 11
2θ = 56.2°, I = 25
2θ = 60.8°, I = 10
2θ = 65.9°, I = 4
2θ = 71.5°, I = 18
2θ = 78.9°, I = 18

Crystal structure
```
data_MoSe
_cell_length_a 3.2739
_cell_length_b 3.2739
_cell_length_c 3.6161
_cell_angle_alpha 90.00
_cell_angle_beta 90.00
_cell_angle_gamma 120.00
_symmetry_space_group_name_H-M 'P 1'
_symmetry_Int_Tables_number 1
loop_
_symmetry_equiv_pos_as_xyz
'x,y,z'
loop_
_atom_site_label
_atom_site_type_symbol
_atom_site_fract_x
_atom_site_fract_y
_atom_site_fract_z
Mo1 Mo 0.0000 0.0000 0.0000
Se1 Se 0.6667 0.3333 0.5000
```

=====

# 7
# Te2MoWS2
Computed PXRD pattern, Cu Kα (weighted mean of Kα1 and Kα2). Input: a crystal structure in the Materials Project, relaxed with PBE.

Most intense lines, 2θ from 10° to 80°, in order of rising 2θ:
2θ = 11.6°, I = 100
2θ = 13.9°, I = 23
2θ = 30.8°, I = 47
2θ = 32.9°, I = 14
2θ = 33.9°, I = 14
2θ = 36.1°, I = 93
2θ = 38.9°, I = 24
2θ = 43.7°, I = 44
2θ = 54.7°, I = 28
2θ = 67.3°, I = 15

Crystal structure
```
data_Te2MoWS2
_cell_length_a 3.3586
_cell_length_b 3.3586
_cell_length_c 38.2893
_cell_angle_alpha 90.00
_cell_angle_beta 90.00
_cell_angle_gamma 120.00
_symmetry_space_group_name_H-M 'P 1'
_symmetry_Int_Tables_number 1
loop_
_symmetry_equiv_pos_as_xyz
'x,y,z'
loop_
_atom_site_label
_atom_site_type_symbol
_atom_site_fract_x
_atom_site_fract_y
_atom_site_fract_z
Te1 Te 0.0000 0.0000 0.0000
Te2 Te 0.0000 0.0000 0.0993
Te3 Te 0.3333 0.6667 0.4366
Te4 Te 0.3333 0.6667 0.5354
Mo1 Mo 0.0000 0.0000 0.4860
Mo2 Mo 0.3333 0.6667 0.6739
W1 W 0.0000 0.0000 0.8618
W2 W 0.3333 0.6667 0.0497
S1 S 0.0000 0.0000 0.6344
S2 S 0.0000 0.0000 0.7134
S3 S 0.3333 0.6667 0.8221
S4 S 0.3333 0.6667 0.9014
```

=====

Question: What is the formula in the fourth record?
Answer: LaSmS2

=====

Please write out number 2 again, unchanged.
# Mg14TiFe
Computed PXRD pattern, Cu Kα (weighted mean of Kα1 and Kα2). Input: a crystal structure in the Materials Project, relaxed with PBE.

Most intense lines, 2θ from 10° to 80°, in order of rising 2θ:
2θ = 16.2°, I = 11
2θ = 24.2°, I = 5
2θ = 32.8°, I = 25
2θ = 36.0°, I = 25
2θ = 37.6°, I = 100
2θ = 49.5°, I = 15
2θ = 58.6°, I = 17
2θ = 65.8°, I = 17
2θ = 70.8°, I = 18
2θ = 71.8°, I = 13

Crystal structure
```
data_Mg14TiFe
_cell_length_a 6.2992
_cell_length_b 6.2992
_cell_length_c 9.9675
_cell_angle_alpha 90.00
_cell_angle_beta 90.00
_cell_angle_gamma 120.00
_symmetry_space_group_name_H-M 'P 1'
_symmetry_Int_Tables_number 1
loop_
_symmetry_equiv_pos_as_xyz
'x,y,z'
loop_
_atom_site_label
_atom_site_type_symbol
_atom_site_fract_x
_atom_site_fract_y
_atom_site_fract_z
Mg1 Mg 0.0000 0.0000 0.2464
Mg2 Mg 0.0000 0.0000 0.7536
Mg3 Mg 0.0142 0.5071 0.2552
Mg4 Mg 0.0142 0.5071 0.7448
Mg5 Mg 0.3320 0.1660 0.5000
Mg6 Mg 0.3383 0.1692 0.0000
Mg7 Mg 0.4929 0.5071 0.2552
Mg8 Mg 0.4929 0.5071 0.7448
Mg9 Mg 0.4929 0.9858 0.2552
Mg10 Mg 0.4929 0.9858 0.7448
Mg11 Mg 0.8308 0.1692 0.0000
Mg12 Mg 0.8308 0.6617 0.0000
Mg13 Mg 0.8340 0.1660 0.5000
Mg14 Mg 0.8340 0.6680 0.5000
Ti1 Ti 0.3333 0.6667 0.0000
Fe1 Fe 0.3333 0.6667 0.5000
```